1.
Structure and calculated powder X-ray diffraction pattern of Mg14GaFe (a crystal structure in the Materials Project, relaxed with GGA-PBE; Cu Kα (λ = 1.5418 Å)).
Kinematic intensities with the Lorentz-polarization factor, no thermal factor.

Cell and atoms:
```
Mg14GaFe
1.0
6.2608 0.0000 0.0000
-3.1304 5.4220 0.0000
0.0000 0.0000 9.8562
Mg Ga Fe
14 1 1
direct
0.0000 0.0000 0.2482 Mg
0.0000 0.0000 0.7518 Mg
0.0170 0.5085 0.2596 Mg
0.0170 0.5085 0.7404 Mg
0.3311 0.1656 0.5000 Mg
0.3354 0.1677 0.0000 Mg
0.4915 0.5085 0.2596 Mg
0.4915 0.5085 0.7404 Mg
0.4915 0.9830 0.2596 Mg
0.4915 0.9830 0.7404 Mg
0.8323 0.1677 0.0000 Mg
0.8323 0.6646 0.0000 Mg
0.8344 0.1656 0.5000 Mg
0.8344 0.6689 0.5000 Mg
0.3333 0.6667 0.0000 Ga
0.3333 0.6667 0.5000 Fe
```

Peak list (6 most intense, 5 to 70 degrees two-theta, in order of rising 2θ)
- 2θ = 16.3°, intensity 19
- 2θ = 33.0°, intensity 26
- 2θ = 36.5°, intensity 24
- 2θ = 37.9°, intensity 100
- 2θ = 59.0°, intensity 17
- 2θ = 66.6°, intensity 17


2.
Structure and calculated powder X-ray diffraction pattern of GaFeN2 (a crystal structure in the Materials Project, relaxed with GGA-PBE; Cu Kα (λ = 1.5418 Å)).
Kinematic intensities with the Lorentz-polarization factor, no thermal factor.

Cell and atoms:
```
GaFeN2
1.0
4.4745 0.0000 0.0000
0.0000 4.4745 0.0000
0.0000 0.0000 8.6407
Ga Fe N
4 4 8
direct
0.0000 0.0000 0.0000 Ga
0.0000 0.5000 0.2500 Ga
0.5000 0.0000 0.7500 Ga
0.5000 0.5000 0.5000 Ga
0.0000 0.0000 0.5000 Fe
0.0000 0.5000 0.7500 Fe
0.5000 0.0000 0.2500 Fe
0.5000 0.5000 0.0000 Fe
0.2306 0.2500 0.6250 N
0.2500 0.7306 0.8750 N
0.2500 0.7694 0.3750 N
0.2694 0.2500 0.1250 N
0.7306 0.7500 0.1250 N
0.7500 0.2306 0.3750 N
0.7500 0.2694 0.8750 N
0.7694 0.7500 0.6250 N
```

Peak list (6 most intense, 5 to 70 degrees two-theta, in order of rising 2θ)
- 2θ = 35.2°, intensity 100
- 2θ = 40.3°, intensity 21
- 2θ = 41.8°, intensity 10
- 2θ = 58.3°, intensity 14
- 2θ = 59.5°, intensity 26
- 2θ = 70.0°, intensity 24


3.
Structure and calculated powder X-ray diffraction pattern of GaFe7N2 (a crystal structure in the Materials Project, relaxed with GGA-PBE; Cu Kα (λ = 1.5418 Å)).
Kinematic intensities with the Lorentz-polarization factor, no thermal factor.

Cell and atoms:
```
GaFe7N2
1.0
0.0000 3.6982 3.6982
3.6982 0.0000 3.6982
3.6982 3.6982 0.0000
Ga Fe N
1 7 2
direct
0.0000 0.0000 0.0000 Ga
0.0000 0.0000 0.5000 Fe
0.0000 0.5000 0.0000 Fe
0.0000 0.5000 0.5000 Fe
0.5000 0.0000 0.0000 Fe
0.5000 0.0000 0.5000 Fe
0.5000 0.5000 0.0000 Fe
0.5000 0.5000 0.5000 Fe
0.2500 0.2500 0.2500 N
0.7500 0.7500 0.7500 N
```

Peak list (5 most intense, 5 to 70 degrees two-theta, in order of rising 2θ)
- 2θ = 20.8°, intensity 1
- 2θ = 34.3°, intensity 2
- 2θ = 42.3°, intensity 100
- 2θ = 49.3°, intensity 57
- 2θ = 61.4°, intensity 1


4.
Structure and calculated powder X-ray diffraction pattern of GaFe19N5 (a crystal structure in the Materials Project, relaxed with GGA-PBE; Cu Kα (λ = 1.5418 Å)).
Kinematic intensities with the Lorentz-polarization factor, no thermal factor.

Cell and atoms:
```
GaFe19N5
1.0
8.3603 0.0000 0.0000
0.0000 8.3603 0.0000
0.0000 0.0000 3.7950
Ga Fe N
1 19 5
direct
0.0000 0.0000 0.0000 Ga
0.0000 0.5000 0.5000 Fe
0.0985 0.7046 0.0000 Fe
0.0995 0.1993 0.5000 Fe
0.1987 0.4000 0.0000 Fe
0.1993 0.9005 0.5000 Fe
0.2954 0.0985 0.0000 Fe
0.3007 0.6042 0.5000 Fe
0.3958 0.3007 0.5000 Fe
0.4000 0.8013 0.0000 Fe
0.5000 0.0000 0.5000 Fe
0.5000 0.5000 0.0000 Fe
0.6000 0.1987 0.0000 Fe
0.6042 0.6993 0.5000 Fe
0.6993 0.3958 0.5000 Fe
0.7046 0.9015 0.0000 Fe
0.8007 0.0995 0.5000 Fe
0.8013 0.6000 0.0000 Fe
0.9005 0.8007 0.5000 Fe
0.9015 0.2954 0.0000 Fe
0.0992 0.7012 0.5000 N
0.2988 0.0992 0.5000 N
0.5000 0.5000 0.5000 N
0.7012 0.9008 0.5000 N
0.9008 0.2988 0.5000 N
```

Peak list (5 most intense, 5 to 70 degrees two-theta, in order of rising 2θ)
- 2θ = 23.8°, intensity 1
- 2θ = 33.7°, intensity 1
- 2θ = 41.6°, intensity 100
- 2θ = 47.9°, intensity 20
- 2θ = 48.7°, intensity 38


5.
Structure and calculated powder X-ray diffraction pattern of GaFeN2 (a crystal structure in the Materials Project, relaxed with GGA-PBE; Cu Kα (λ = 1.5418 Å)).
Kinematic intensities with the Lorentz-polarization factor, no thermal factor.

Cell and atoms:
```
GaFeN2
1.0
5.4274 0.0000 0.0000
0.0000 6.2861 0.0000
0.0000 0.0000 5.1006
Ga Fe N
4 4 8
direct
0.0874 0.1227 0.0000 Ga
0.4126 0.6227 0.5000 Ga
0.5874 0.3773 0.0000 Ga
0.9126 0.8773 0.5000 Ga
0.0735 0.6245 0.9957 Fe
0.4265 0.1245 0.4957 Fe
0.5735 0.8755 0.9957 Fe
0.9265 0.3755 0.4957 Fe
0.0773 0.6218 0.3602 N
0.0972 0.1323 0.3898 N
0.4028 0.6323 0.8898 N
0.4227 0.1218 0.8602 N
0.5773 0.8782 0.3602 N
0.5972 0.3677 0.3898 N
0.9028 0.8677 0.8898 N
0.9227 0.3782 0.8602 N
```

Peak list (6 most intense, 5 to 70 degrees two-theta, in order of rising 2θ)
- 2θ = 33.0°, intensity 46
- 2θ = 35.2°, intensity 37
- 2θ = 37.5°, intensity 100
- 2θ = 49.0°, intensity 21
- 2θ = 58.9°, intensity 20
- 2θ = 64.7°, intensity 30


6.
Structure and calculated powder X-ray diffraction pattern of Ga2FeN3 (a crystal structure in the Materials Project, relaxed with GGA-PBE; Cu Kα (λ = 1.5418 Å)).
Kinematic intensities with the Lorentz-polarization factor, no thermal factor.

Cell and atoms:
```
Ga2FeN3
1.0
4.8408 -2.7912 0.0000
4.8408 2.7912 0.0000
0.0000 0.0000 5.2348
Ga Fe N
4 2 6
direct
0.0061 0.3273 0.0000 Ga
0.3273 0.0061 0.5000 Ga
0.6726 0.9939 0.0000 Ga
0.9939 0.6726 0.5000 Ga
0.3401 0.6599 0.9923 Fe
0.6599 0.3401 0.4923 Fe
0.0028 0.6606 0.8761 N
0.3200 0.6800 0.3749 N
0.3394 0.9972 0.8761 N
0.6606 0.0028 0.3761 N
0.6800 0.3200 0.8749 N
0.9972 0.3394 0.3761 N
```

Peak list (6 most intense, 5 to 70 degrees two-theta, in order of rising 2θ)
- 2θ = 32.0°, intensity 45
- 2θ = 34.3°, intensity 37
- 2θ = 36.5°, intensity 100
- 2θ = 57.1°, intensity 30
- 2θ = 62.8°, intensity 31
- 2θ = 68.3°, intensity 26


7.
Structure and calculated powder X-ray diffraction pattern of NdGa7Fe5 (a crystal structure in the Materials Project, relaxed with GGA-PBE; Cu Kα (λ = 1.5418 Å)).
Kinematic intensities with the Lorentz-polarization factor, no thermal factor.

Cell and atoms:
```
NdGa7Fe5
1.0
-2.5388 4.3627 4.3759
2.5388 -4.3627 4.3759
2.5388 4.3627 -4.3759
Nd Ga Fe
1 7 5
direct
0.0000 0.0000 0.0000 Nd
0.2177 0.5028 0.7149 Ga
0.3285 0.3285 0.0000 Ga
0.3330 0.9884 0.3445 Ga
0.6439 0.9884 0.6555 Ga
0.6600 0.6600 0.0000 Ga
0.7720 0.2720 0.5000 Ga
0.7878 0.5028 0.2851 Ga
0.2366 0.7366 0.5000 Fe
0.4962 0.4926 0.4975 Fe
0.4962 0.9988 0.0036 Fe
0.9952 0.4926 0.9964 Fe
0.9952 0.9988 0.5025 Fe
```

Peak list (6 most intense, 5 to 70 degrees two-theta, in order of rising 2θ)
- 2θ = 35.4°, intensity 18
- 2θ = 35.5°, intensity 42
- 2θ = 41.1°, intensity 46
- 2θ = 41.3°, intensity 100
- 2θ = 41.4°, intensity 21
- 2θ = 46.3°, intensity 37


8.
Structure and calculated powder X-ray diffraction pattern of NdGa6Fe6 (a crystal structure in the Materials Project, relaxed with GGA-PBE; Cu Kα (λ = 1.5418 Å)).
Kinematic intensities with the Lorentz-polarization factor, no thermal factor.

Cell and atoms:
```
NdGa6Fe6
1.0
-2.5281 4.2960 4.3549
2.5281 -4.2960 4.3549
2.5281 4.2960 -4.3549
Nd Ga Fe
1 6 6
direct
0.0000 0.0000 0.0000 Nd
0.1916 0.6916 0.5000 Ga
0.3349 0.0000 0.3349 Ga
0.3464 0.3464 0.0000 Ga
0.6536 0.6536 0.0000 Ga
0.6651 0.0000 0.6651 Ga
0.8084 0.3084 0.5000 Ga
0.0000 0.0000 0.5000 Fe
0.0000 0.5000 0.0000 Fe
0.2433 0.5000 0.7433 Fe
0.5000 0.0000 0.0000 Fe
0.5000 0.5000 0.5000 Fe
0.7567 0.5000 0.2567 Fe
```

Peak list (6 most intense, 5 to 70 degrees two-theta, in order of rising 2θ)
- 2θ = 35.7°, intensity 71
- 2θ = 41.5°, intensity 90
- 2θ = 41.6°, intensity 100
- 2θ = 41.8°, intensity 61
- 2θ = 42.1°, intensity 57
- 2θ = 46.6°, intensity 64


9.
Structure and calculated powder X-ray diffraction pattern of Nd6GaFe13 (a crystal structure in the Materials Project, relaxed with GGA-PBE; Cu Kα (λ = 1.5418 Å)).
Kinematic intensities with the Lorentz-polarization factor, no thermal factor.

Cell and atoms:
```
Nd6GaFe13
1.0
-4.0676 4.0676 11.8450
4.0676 -4.0676 11.8450
4.0676 4.0676 -11.8450
Nd Ga Fe
12 2 26
direct
0.0209 0.5209 0.1696 Nd
0.1055 0.1055 0.0000 Nd
0.1487 0.9791 0.5000 Nd
0.3513 0.8513 0.8304 Nd
0.3945 0.3945 0.0000 Nd
0.4791 0.6487 0.5000 Nd
0.5209 0.3513 0.5000 Nd
0.6055 0.6055 0.0000 Nd
0.6487 0.1487 0.1696 Nd
0.8513 0.0209 0.5000 Nd
0.8945 0.8945 0.0000 Nd
0.9791 0.4791 0.8304 Nd
0.2500 0.2500 0.0000 Ga
0.7500 0.7500 0.0000 Ga
0.0000 0.5000 0.5000 Fe
0.0186 0.2947 0.5000 Fe
0.0669 0.2110 0.2779 Fe
0.1200 0.6200 0.8566 Fe
0.2053 0.4814 0.5000 Fe
0.2110 0.9331 0.1442 Fe
0.2366 0.7366 0.8566 Fe
0.2634 0.1200 0.5000 Fe
0.2890 0.4331 0.7221 Fe
0.2947 0.7947 0.2761 Fe
0.3800 0.2366 0.5000 Fe
0.4331 0.7110 0.1442 Fe
0.4814 0.9814 0.2761 Fe
0.5000 0.0000 0.5000 Fe
0.5186 0.0186 0.7239 Fe
0.5669 0.2890 0.8558 Fe
0.6200 0.7634 0.5000 Fe
0.7053 0.2053 0.7239 Fe
0.7110 0.5669 0.2779 Fe
0.7366 0.8800 0.5000 Fe
0.7634 0.2634 0.1434 Fe
0.7890 0.0669 0.8558 Fe
0.7947 0.5186 0.5000 Fe
0.8800 0.3800 0.1434 Fe
0.9331 0.7890 0.7221 Fe
0.9814 0.7053 0.5000 Fe
```

Peak list (6 most intense, 5 to 70 degrees two-theta, in order of rising 2θ)
- 2θ = 7.5°, intensity 57
- 2θ = 27.0°, intensity 98
- 2θ = 31.0°, intensity 99
- 2θ = 34.9°, intensity 100
- 2θ = 37.6°, intensity 74
- 2θ = 42.4°, intensity 56


Which formula does entry 9 have?
Nd6GaFe13


Number 2 is which compound?
GaFeN2